# 1
# ZrN
Calculated XRD peak list, Cu Ka. Input: a GGA-PBE-relaxed structure.
Neutral-atom scattering factors, no anomalous dispersion.

Main lines, low angle first (10 to 90 degrees two-theta):
two_theta  d (Å)  Rel. int.
28.80  3.100  40
32.06  2.792  32
33.05  2.710  100
43.63  2.075  20
51.03  1.790  30
57.77  1.596  28
61.54  1.507  27
62.15  1.494  16
80.67  1.191  10
84.49  1.147  14

Structure:
Unit cell a=3.5796 b=3.5796 c=5.5841 alpha=90.00 beta=90.00 gamma=120.00
Fractional coordinates of all 4 atoms:
Zr1 0.3333 0.6667 0.0000
Zr2 0.6667 0.3333 0.5000
N1 0.3333 0.6667 0.3843
N2 0.6667 0.3333 0.8843

***

# 2
# ZrN
Calculated XRD peak list, Cu Ka. Input: a GGA-PBE-relaxed structure.
Neutral-atom scattering factors, no anomalous dispersion.

Main lines, low angle first (10 to 90 degrees two-theta):
two_theta  d (Å)  Rel. int.
33.62  2.666  100
39.01  2.309  88
56.36  1.633  56
67.24  1.392  41
70.67  1.333  18
83.80  1.154  8

Structure:
Unit cell a=4.6176 b=4.6176 c=4.6176 alpha=90.00 beta=90.00 gamma=90.00
Fractional coordinates of all 8 atoms:
Zr1 0.0000 0.0000 0.0000
Zr2 0.0000 0.5000 0.5000
Zr3 0.5000 0.0000 0.5000
Zr4 0.5000 0.5000 0.0000
N1 0.0000 0.0000 0.5000
N2 0.0000 0.5000 0.0000
N3 0.5000 0.0000 0.0000
N4 0.5000 0.5000 0.5000

***

Please write out number 2 again, unchanged.
# ZrN
Calculated XRD peak list, Cu Ka. Input: a GGA-PBE-relaxed structure.
Neutral-atom scattering factors, no anomalous dispersion.

Main lines, low angle first (10 to 90 degrees two-theta):
two_theta  d (Å)  Rel. int.
33.62  2.666  100
39.01  2.309  88
56.36  1.633  56
67.24  1.392  41
70.67  1.333  18
83.80  1.154  8

Structure:
Unit cell a=4.6176 b=4.6176 c=4.6176 alpha=90.00 beta=90.00 gamma=90.00
Fractional coordinates of all 8 atoms:
Zr1 0.0000 0.0000 0.0000
Zr2 0.0000 0.5000 0.5000
Zr3 0.5000 0.0000 0.5000
Zr4 0.5000 0.5000 0.0000
N1 0.0000 0.0000 0.5000
N2 0.0000 0.5000 0.0000
N3 0.5000 0.0000 0.0000
N4 0.5000 0.5000 0.5000

***

Which formula does entry 2 have?
ZrN